# SrCeH8Pt2
Simulated powder diffraction line list, CuKα. Input: the PBE geometry in Alexandria.
Kinematic intensities with the Lorentz-polarization factor, no thermal factor.

Atomic structure:
a b c (Å): 4.7673 4.7673 20.5167
angles (deg): 90.00 90.00 120.00
Space group R-3m (No. 166, hexagonal axes)
Symmetry-distinct sites (fractional):
Sr  0.0000  0.0000  0.0000 x3
Ce  0.0000  0.0000  0.5000 x3
H  0.0000  0.0000  0.1529 x6
H  0.0446  0.5223  0.0645 x18
Pt  0.0000  0.0000  0.2355 x6

The 8 most intense peaks (2θ from 10° to 90°), in order of rising 2θ:
| 2θ (°) | intensity |
| --- | --- |
| 12.9 | 14 |
| 27.7 | 100 |
| 37.7 | 49 |
| 41.4 | 27 |
| 47.5 | 23 |
| 62.2 | 21 |
| 68.1 | 12 |
| 70.7 | 11 |